Structure and computed X-ray powder pattern of BaCd2In6 (a structure optimized by DFT (PBE); Cu Kα).
Lines closer than 0.1° are merged.

Crystal structure
```
data_BaCd2In6
_cell_length_a 4.8680
_cell_length_b 4.8680
_cell_length_c 10.9578
_cell_angle_alpha 90.00
_cell_angle_beta 90.00
_cell_angle_gamma 90.00
_space_group_name_H-M_alt 'P 4/m m m'
_space_group_IT_number 123
_space_group_name_Hall '-P 4 2'
loop_
_atom_site_label
_atom_site_type_symbol
_atom_site_fract_x
_atom_site_fract_y
_atom_site_fract_z
Ba1 Ba 0.0000 0.0000 0.0000
Cd1 Cd 0.5000 0.5000 0.1286
In1 In 0.0000 0.0000 0.5000
In2 In 0.0000 0.5000 0.2913
In3 In 0.5000 0.5000 0.5000
```

Top 6 peaks for 2θ from 15° to 90°, low angle first:
2θ 30.66, d 2.916, I = 100, (1 1 2); 2θ 35.85, d 2.505, I = 36, (1 1 3); 2θ 36.93, d 2.434, I = 51, (2 0 0); 2θ 53.22, d 1.721, I = 17, (2 2 0); 2θ 56.50, d 1.629, I = 12, (2 0 5); 2θ 62.69, d 1.482, I = 23, (3 1 2)


Structure and computed X-ray powder pattern of Cs2Pr10Co2I17 (a structure optimized by DFT (PBE); Cu Kα).
Lines closer than 0.1° are merged.

Crystal structure
```
data_Cs2Pr10Co2I17
_cell_length_a 13.8328
_cell_length_b 19.1081
_cell_length_c 10.0168
_cell_angle_alpha 90.00
_cell_angle_beta 95.90
_cell_angle_gamma 90.00
_space_group_name_H-M_alt 'C 1 2/m 1'
_space_group_IT_number 12
loop_
_space_group_symop_operation_xyz
'x,y,z'
'-x,-y,-z'
'-x,y,-z'
'x,-y,z'
'x+1/2,y+1/2,z'
'-x+1/2,-y+1/2,-z'
'-x+1/2,y+1/2,-z'
'x+1/2,-y+1/2,z'
loop_
_atom_site_label
_atom_site_type_symbol
_atom_site_fract_x
_atom_site_fract_y
_atom_site_fract_z
Cs1 Cs 0.0000 0.1700 0.0000
Pr1 Pr 0.0592 0.5000 0.6734
Pr2 Pr 0.1430 0.3506 0.4295
Pr3 Pr 0.1755 0.0000 0.4414
Pr4 Pr 0.2045 0.5000 0.1888
Co1 Co 0.1423 0.5000 0.4320
I1 I 0.0000 0.5000 0.0000
I2 I 0.0635 0.0000 0.7130
I3 I 0.0721 0.3271 0.7262
I4 I 0.1420 0.1690 0.4173
I5 I 0.2153 0.0000 0.1299
I6 I 0.2183 0.3336 0.1415
```

Top 6 peaks for 2θ from 15° to 90°, low angle first:
2θ 28.02, d 3.184, I = 96, (0 6 0); 2θ 28.30, d 3.153, I = 88, (4 0 1); 2θ 28.64, d 3.117, I = 100, (2 0 -3); 2θ 39.73, d 2.269, I = 30, (2 0 4); 2θ 40.25, d 2.241, I = 63, (4 6 1); 2θ 40.48, d 2.228, I = 60, (2 6 -3)


Structure and computed X-ray powder pattern of Tb5Nd2Sm12 (a structure optimized by DFT (PBE); Cu Kα).
Lines closer than 0.1° are merged.

Crystal structure
```
data_Tb5Nd2Sm12
_cell_length_a 16.0463
_cell_length_b 10.1578
_cell_length_c 7.9388
_cell_angle_alpha 90.00
_cell_angle_beta 90.61
_cell_angle_gamma 90.00
_space_group_name_H-M_alt 'C 1 2/m 1'
_space_group_IT_number 12
loop_
_space_group_symop_operation_xyz
'x,y,z'
'-x,-y,-z'
'-x,y,-z'
'x,-y,z'
'x+1/2,y+1/2,z'
'-x+1/2,-y+1/2,-z'
'-x+1/2,y+1/2,-z'
'x+1/2,-y+1/2,z'
loop_
_atom_site_label
_atom_site_type_symbol
_atom_site_fract_x
_atom_site_fract_y
_atom_site_fract_z
Tb1 Tb 0.0000 0.0000 0.0000
Tb2 Tb 0.1473 0.5000 0.5825
Tb3 Tb 0.2467 0.0000 0.9901
Nd1 Nd 0.0000 0.2244 0.5000
Sm1 Sm 0.0514 0.5000 0.2098
Sm2 Sm 0.1056 0.2741 0.8903
Sm3 Sm 0.1587 0.0000 0.6214
Sm4 Sm 0.1936 0.2327 0.2945
```

Top 6 peaks for 2θ from 15° to 90°, low angle first:
2θ 30.46, d 2.935, I = 100, (4 2 -1); 2θ 30.77, d 2.906, I = 75, (2 2 2); 2θ 35.34, d 2.540, I = 32, (0 4 0); 2θ 35.53, d 2.527, I = 29, (6 0 1); 2θ 35.61, d 2.521, I = 28, (2 0 -3); 2θ 51.02, d 1.790, I = 31, (2 4 -3)


Structure and computed X-ray powder pattern of PtAu (a structure optimized by DFT (PBE); Cu Kα).
Lines closer than 0.1° are merged.

Crystal structure
```
data_PtAu
_cell_length_a 2.8485
_cell_length_b 2.8485
_cell_length_c 28.6223
_cell_angle_alpha 90.00
_cell_angle_beta 90.00
_cell_angle_gamma 120.00
_space_group_name_H-M_alt 'R -3 m'
_space_group_IT_number 166
_space_group_name_Hall '-R 3 2"'
loop_
_atom_site_label
_atom_site_type_symbol
_atom_site_fract_x
_atom_site_fract_y
_atom_site_fract_z
Pt1 Pt 0.0000 0.0000 0.1264
Au1 Au 0.0000 0.0000 0.3766
```

Top 6 peaks for 2θ from 15° to 90°, low angle first:
2θ 37.71, d 2.385, I = 35, (0 0 12); 2θ 38.61, d 2.332, I = 100, (1 0 4); 2θ 44.62, d 2.031, I = 67, (0 1 8); 2θ 64.33, d 1.448, I = 22, (1 0 16); 2θ 65.54, d 1.424, I = 22, (1 1 0); 2θ 78.16, d 1.223, I = 26, (1 1 12)